This entry pairs a crystal structure of Dy4AgTeSe2 with its calculated PXRD pattern. Radiation: Cu Kα. Structure: a PBE-relaxed structure.
Lines closer than 0.1° are merged.

Largest 10 diffraction maxima, low angle first, 2θ from 10° to 90°:
Position (°2θ)	I_rel
30.24	100
41.82	13
42.72	25
43.87	24
44.70	12
51.48	7
54.93	12
62.88	12
70.53	11
72.19	11

Structural model:
```
Dy4AgTeSe2
1.0
7.1950 0.0000 0.0000
0.0000 4.0545 0.0000
-2.2626 0.0000 7.1010
Dy Ag Te Se
4 1 1 2
Direct
0.2349 0.0000 0.2296
0.2464 0.5000 0.7609
0.7536 0.5000 0.2391
0.7651 0.0000 0.7704
0.0000 0.0000 0.5000
0.5000 0.5000 0.5000
0.0000 0.5000 0.0000
0.5000 0.0000 0.0000
```